La3Zn4Rh4: simulated XRD peak list (Cu Kα (λ = 1.5418 Å)), based on the GGA-PBE geometry in Alexandria.
Lines closer than 0.1° are merged.

Peak list (10 most intense, 2θ from 10° to 90°, in order of rising 2θ)
2θ (°), intensity
33.10, 96
33.64, 29
35.22, 100
37.73, 17
41.54, 30
43.26, 37
44.80, 17
61.53, 18
68.08, 15
73.40, 18

Structural model:
```
La3Zn4Rh4
1.0
-2.092 3.664 7.151
2.092 -3.664 7.151
2.092 3.664 -7.151
La Zn Rh
3 4 4
Cartesian
0.000 0.000 0.000
2.092 0.000 5.374
0.000 3.664 1.776
2.092 1.364 -2.471
2.092 1.364 2.471
0.000 2.300 4.679
0.000 2.300 9.622
0.000 0.000 3.204
2.092 2.236 0.000
0.000 1.428 7.151
0.000 0.000 11.097
```